1.
Structure and calculated powder X-ray diffraction pattern of Li2Fe5Si5O16 (a crystal structure in the Materials Project, relaxed with PBE+U; Cu Kα (λ = 1.5418 Å)).
Kinematic intensities with the Lorentz-polarization factor, no thermal factor.

Crystal structure
a = 5.0957 Å, b = 6.9570 Å, c = 10.4161 Å
α = 89.36°, β = 89.88°, γ = 89.99°
Space group P1 (No. 1)
Symmetry-distinct sites (fractional):
Li: 0.0000 0.0000 0.0000
Li: 0.4767 0.4943 0.8072
Fe: 0.3392 0.4994 0.3262
Fe: 0.3512 0.9933 0.3108
Fe: 0.4796 0.9951 0.8150
Fe: 0.8487 0.5074 0.5176
Fe: 0.8584 0.0177 0.5083
Si: 0.3481 0.7531 0.5741
Si: 0.4462 0.7310 0.0669
Si: 0.8345 0.2659 0.2497
Si: 0.9521 0.4871 0.9985
Si: 0.9918 0.2366 0.7665
O: 0.0278 0.7611 0.5442
O: 0.2621 0.5547 0.0039
O: 0.3078 0.2522 0.7819
O: 0.3728 0.9346 0.0034
O: 0.3944 0.7390 0.2213
O: 0.4301 0.7441 0.7248
O: 0.4537 0.5532 0.5063
O: 0.4682 0.9454 0.4981
O: 0.5150 0.2531 0.2691
O: 0.7589 0.6674 0.0386
O: 0.8684 0.4275 0.8515
O: 0.8753 0.0415 0.8309
O: 0.8874 0.2598 0.6167
O: 0.9143 0.2948 0.0932
O: 0.9449 0.4535 0.3260
O: 0.9583 0.0657 0.3082

Most intense lines, 5° ≤ 2θ ≤ 70°, by intensity:
hkl 1 -1 0, 21.6°, rel. 100
hkl 0 0 1, 8.5°, rel. 96
hkl 2 0 0, 35.2°, rel. 80
hkl 0 0 4, 34.4°, rel. 75
hkl 1 0 2, 24.4°, rel. 58
hkl 0 2 -2, 31.1°, rel. 50



2.
Structure and calculated powder X-ray diffraction pattern of Li9Mn2Co5O16 (a crystal structure in the Materials Project, relaxed with PBE+U; Cu Kα (λ = 1.5418 Å)).
Kinematic intensities with the Lorentz-polarization factor, no thermal factor.

Crystal structure
a = 5.0708 Å, b = 5.1353 Å, c = 11.6964 Å
α = 90.53°, β = 91.08°, γ = 109.10°
Space group P1 (No. 1)
Symmetry-distinct sites (fractional):
Li: 0.0000 0.0000 0.0000
Li: 0.0003 0.0010 0.7530
Li: 0.0013 0.9985 0.2531
Li: 0.4929 0.9994 0.6372
Li: 0.4955 0.9964 0.1237
Li: 0.4969 0.9957 0.3815
Li: 0.4976 0.4997 0.7544
Li: 0.4990 0.9927 0.8760
Li: 0.9849 0.9906 0.5086
Mn: 0.4984 0.5011 0.2545
Mn: 0.9901 0.4870 0.6313
Co: 0.4888 0.4943 0.9945
Co: 0.4924 0.4927 0.5138
Co: 0.9894 0.4946 0.3810
Co: 0.9934 0.5117 0.8742
Co: 0.9960 0.4984 0.1230
O: 0.2154 0.7100 0.5037
O: 0.2208 0.7281 0.7454
O: 0.2290 0.2650 0.6228
O: 0.2482 0.7378 0.0055
O: 0.2501 0.2699 0.8865
O: 0.2536 0.7232 0.2519
O: 0.2594 0.2818 0.3745
O: 0.2636 0.2726 0.1360
O: 0.7324 0.7212 0.1367
O: 0.7403 0.7221 0.3759
O: 0.7456 0.2559 0.5091
O: 0.7458 0.7163 0.6211
O: 0.7492 0.2797 0.2607
O: 0.7575 0.7318 0.8845
O: 0.7636 0.2663 0.0095
O: 0.7719 0.2642 0.7477

Most intense lines, 5° ≤ 2θ ≤ 70°, by intensity:
hkl 0 1 0, 18.3°, rel. 100
hkl 1 1 -4, 43.0°, rel. 29
hkl 2 -2 0, 43.5°, rel. 28
hkl 1 1 4, 44.1°, rel. 26
hkl 1 0 -4, 35.6°, rel. 15
hkl 2 -1 0, 36.0°, rel. 13



3.
Structure and calculated powder X-ray diffraction pattern of Sr2MgZrCoO6 (a crystal structure in the Materials Project, relaxed with PBE+U; Cu Kα (λ = 1.5418 Å)).
Kinematic intensities with the Lorentz-polarization factor, no thermal factor.

Crystal structure
a = 5.7030 Å, b = 5.7668 Å, c = 10.0168 Å
α = 90.00°, β = 90.00°, γ = 90.00°
Space group Immm (No. 71)
Symmetry-distinct sites (fractional):
Sr: 0.0000 0.0000 0.1812
Mg: 0.0000 0.0000 0.5000
Zr: 0.0000 0.5000 0.5000
Co: 0.0000 0.5000 0.0000
O: 0.0000 0.5000 0.2851
O: 0.2456 0.2594 0.0000

Most intense lines, 5° ≤ 2θ ≤ 70°, by intensity:
hkl 0 2 0, 31.0°, rel. 100
hkl 1 1 2, 28.3°, rel. 88
hkl 2 2 0, 44.7°, rel. 73
hkl 0 0 2, 17.7°, rel. 39
hkl 2 0 0, 31.4°, rel. 39
hkl 1 2 3, 44.4°, rel. 25



4.
Structure and calculated powder X-ray diffraction pattern of MgVW2O8 (a crystal structure in the Materials Project, relaxed with PBE+U; Cu Kα (λ = 1.5418 Å)).
Kinematic intensities with the Lorentz-polarization factor, no thermal factor.

Crystal structure
a = 5.0541 Å, b = 5.4422 Å, c = 6.2479 Å
α = 72.59°, β = 87.22°, γ = 75.21°
Space group P1 (No. 1)
Symmetry-distinct sites (fractional):
Mg: 0.0000 0.0000 0.0000
V: 0.6572 0.8902 0.5520
W: 0.3900 0.4026 0.7061
W: 0.9266 0.3932 0.3743
O: 0.0000 0.6220 0.1198
O: 0.0136 0.6121 0.5766
O: 0.3009 0.2012 0.4869
O: 0.3044 0.1709 0.9578
O: 0.4870 0.6840 0.7932
O: 0.5665 0.6098 0.4022
O: 0.7876 0.1541 0.7014
O: 0.8407 0.1300 0.2721

Most intense lines, 5° ≤ 2θ ≤ 70°, by intensity:
hkl 0 1 0, 17.7°, rel. 100
hkl 0 0 1, 14.9°, rel. 87
hkl 1 0 1, 23.9°, rel. 79
hkl -1 1 1, 29.4°, rel. 50
hkl 1 1 -1, 29.2°, rel. 49
hkl 1 0 -1, 23.2°, rel. 42



5.
Structure and calculated powder X-ray diffraction pattern of V3ZnO7 (a crystal structure in the Materials Project, relaxed with PBE+U; Cu Kα (λ = 1.5418 Å)).
Kinematic intensities with the Lorentz-polarization factor, no thermal factor.

Crystal structure
a = 10.1803 Å, b = 10.2750 Å, c = 5.4072 Å
α = 90.00°, β = 90.00°, γ = 90.00°
Space group Pnma (No. 62)
Symmetry-distinct sites (fractional):
V: 0.1848 0.0300 0.2153
V: 0.2224 0.2500 0.7071
Zn: 0.0625 0.7500 0.6192
O: 0.0351 0.0979 0.2251
O: 0.0583 0.2500 0.6930
O: 0.2080 0.6206 0.4542
O: 0.2178 0.6143 0.9814

Most intense lines, 5° ≤ 2θ ≤ 70°, by intensity:
hkl 2 2 1, 29.7°, rel. 100
hkl 2 1 1, 25.5°, rel. 86
hkl 2 0 0, 17.4°, rel. 41
hkl 2 2 0, 24.6°, rel. 26
hkl 0 3 1, 30.9°, rel. 24
hkl 2 4 2, 52.3°, rel. 23



6.
Structure and calculated powder X-ray diffraction pattern of SrCrO4 (a crystal structure in the Materials Project, relaxed with PBE+U; Cu Kα (λ = 1.5418 Å)).
Kinematic intensities with the Lorentz-polarization factor, no thermal factor.

Crystal structure
a = 6.8417 Å, b = 7.5039 Å, c = 8.7292 Å
α = 90.00°, β = 126.52°, γ = 90.00°
Space group P2_1/c (No. 14)
Symmetry-distinct sites (fractional):
Sr: 0.1739 0.1560 0.2742
Cr: 0.3125 0.6628 0.1967
O: 0.1247 0.6618 0.6188
O: 0.1948 0.5035 0.2528
O: 0.3340 0.5985 0.0254
O: 0.4059 0.2149 0.1201

Most intense lines, 5° ≤ 2θ ≤ 70°, by intensity:
hkl 0 2 1, 26.9°, rel. 100
hkl 2 1 -2, 29.3°, rel. 72
hkl 0 0 2, 25.4°, rel. 59
hkl 2 1 -4, 43.2°, rel. 35
hkl 2 3 -1, 45.4°, rel. 32
hkl 2 1 -1, 29.4°, rel. 27



7.
Structure and calculated powder X-ray diffraction pattern of MnO2 (a crystal structure in the Materials Project, relaxed with PBE+U; Cu Kα (λ = 1.5418 Å)).
Kinematic intensities with the Lorentz-polarization factor, no thermal factor.

Crystal structure
a = 4.4581 Å, b = 4.4581 Å, c = 2.9423 Å
α = 90.00°, β = 90.00°, γ = 90.00°
Space group P4_2/mnm (No. 136)
Symmetry-distinct sites (fractional):
Mn: 0.0000 0.0000 0.0000
O: 0.1940 0.1940 0.5000

Most intense lines, 5° ≤ 2θ ≤ 70°, by intensity:
hkl 1 1 0, 28.3°, rel. 100
hkl 2 1 1, 55.7°, rel. 59
hkl 1 0 1, 36.6°, rel. 54
hkl 2 2 0, 58.6°, rel. 16
hkl 1 1 1, 42.0°, rel. 14
hkl 2 0 0, 40.5°, rel. 10



> Which formula does entry 2 have?

Li9Mn2Co5O16



> Which formula does entry 5 have?

V3ZnO7